# 1
For Dy3Al4Ag4, DFT lattice parameters and positions (PBE) gives the calculated powder diffraction line list in this record (Cu Kα, 1.54184 Å).

Cell and atoms:
Cell: 3.5429 4.6234 14.3260 Å, 80.71 82.90 89.98°
Fractional coordinates of all 11 atoms:
Dy 0.0000 0.0000 0.0000
Dy 0.1426 0.6433 0.7140
Dy 0.8574 0.3567 0.2860
Al 0.3124 0.8117 0.3759
Al 0.4531 0.4525 0.0945
Al 0.5469 0.5475 0.9055
Al 0.6876 0.1883 0.6241
Ag 0.2615 0.2614 0.4769
Ag 0.4066 0.9057 0.1876
Ag 0.5934 0.0943 0.8124
Ag 0.7385 0.7386 0.5231

Principal peaks in the range 15 to 90 degrees two-theta, by angle:
two_theta	d [Å]	I_rel
21.44	4.145	308
33.77	2.654	428
34.36	2.610	1000
38.96	2.312	268
40.39	2.233	389
52.49	1.743	241

=====

# 2
For Dy3Al6Ag20, DFT lattice parameters and positions (PBE) gives the calculated powder diffraction line list in this record (Cu Kα, 1.54184 Å).

Cell and atoms:
Cell: 9.2442 9.2442 9.2442 Å, 60.00 60.00 60.00°
Fractional coordinates of all 29 atoms:
Dy 0.0000 0.0000 0.0000
Dy 0.2500 0.2500 0.2500
Dy 0.7500 0.7500 0.7500
Al 0.2637 0.2637 0.7363
Al 0.2637 0.7363 0.2637
Al 0.2637 0.7363 0.7363
Al 0.7363 0.2637 0.2637
Al 0.7363 0.2637 0.7363
Al 0.7363 0.7363 0.2637
Ag 0.0000 0.0000 0.3494
Ag 0.0000 0.0000 0.6506
Ag 0.0000 0.3494 0.0000
Ag 0.0000 0.3494 0.6506
Ag 0.0000 0.6506 0.0000
Ag 0.0000 0.6506 0.3494
Ag 0.1495 0.6168 0.6168
Ag 0.3494 0.0000 0.0000
Ag 0.3494 0.0000 0.6506
Ag 0.3494 0.6506 0.0000
Ag 0.3832 0.3832 0.3832
Ag 0.3832 0.3832 0.8505
Ag 0.3832 0.8505 0.3832
Ag 0.6168 0.1495 0.6168
Ag 0.6168 0.6168 0.1495
Ag 0.6168 0.6168 0.6168
Ag 0.6506 0.0000 0.0000
Ag 0.6506 0.0000 0.3494
Ag 0.6506 0.3494 0.0000
Ag 0.8505 0.3832 0.3832

Principal peaks in the range 15 to 90 degrees two-theta, by angle:
two_theta	d [Å]	I_rel
30.58	2.923	222
33.58	2.669	344
35.69	2.516	1000
38.97	2.311	334
40.84	2.210	233
60.05	1.541	297

=====

# 3
For Dy2Al2Ag, DFT lattice parameters and positions (PBE) gives the calculated powder diffraction line list in this record (Cu Kα, 1.54184 Å).

Cell and atoms:
Cell: 6.9966 6.9966 4.6583 Å, 90.00 90.00 90.00°
Fractional coordinates of all 10 atoms:
Dy 0.1678 0.3322 0.0000
Dy 0.3322 0.8322 0.0000
Dy 0.6678 0.1678 0.0000
Dy 0.8322 0.6678 0.0000
Al 0.1346 0.6346 0.5000
Al 0.3654 0.1346 0.5000
Al 0.6346 0.8654 0.5000
Al 0.8654 0.3654 0.5000
Ag 0.0000 0.0000 0.5000
Ag 0.5000 0.5000 0.5000

Principal peaks in the range 15 to 90 degrees two-theta, by angle:
two_theta	d [Å]	I_rel
26.28	3.391	363
28.53	3.129	414
31.99	2.797	574
34.53	2.597	1000
38.66	2.329	278
40.78	2.213	363